Starting from a structure optimized by DFT (GGA-PBE), the PXRD pattern of Sr2Pr2Cd3 was calculated for Cu Kα (weighted mean of Kα1 and Kα2).
Lines closer than 0.1° are merged.

```
data_Sr2Pr2Cd3
_chemical_formula_sum 'Sr4 Pr4 Cd6'
_cell_length_a 9.510
_cell_length_b 5.497
_cell_length_c 9.851
_cell_angle_alpha 90.00
_cell_angle_beta 108.70
_cell_angle_gamma 90.00
_symmetry_space_group_name_H-M 'P 1'
_symmetry_Int_Tables_number 1
loop_
_symmetry_equiv_pos_as_xyz
'x,y,z'
loop_
_atom_site_label
_atom_site_type_symbol
_atom_site_fract_x
_atom_site_fract_y
_atom_site_fract_z
_atom_site_occupancy
Sr1 Sr 0.126 0.000 0.377 1
Sr2 Sr 0.374 0.500 0.623 1
Sr3 Sr 0.626 0.500 0.377 1
Sr4 Sr 0.874 0.000 0.623 1
Pr1 Pr 0.125 0.500 0.875 1
Pr2 Pr 0.375 0.000 0.125 1
Pr3 Pr 0.625 0.000 0.875 1
Pr4 Pr 0.875 0.500 0.125 1
Cd1 Cd 0.000 0.000 0.000 1
Cd2 Cd 0.243 0.500 0.228 1
Cd3 Cd 0.257 0.000 0.772 1
Cd4 Cd 0.500 0.500 0.000 1
Cd5 Cd 0.743 0.000 0.228 1
Cd6 Cd 0.757 0.500 0.772 1
```

Most intense lines, 10° ≤ 2θ ≤ 90°, by angle:
2θ (°)	intensity	h k l
31.7	100.0	2 0 2
32.6	96.8	0 2 0
34.0	12.9	3 1 0
46.1	34.9	2 2 2
56.0	17.8	1 1 5
57.6	35.4	5 1 1
58.2	17.9	6 0 -2
68.3	10.9	0 4 0